For SnSO4, DFT lattice parameters and positions (GGA-PBE) gives the calculated powder diffractogram in this record (Cu Kα (weighted mean of Kα1 and Kα2)).
No peak broadening, texture or thermal motion is included.

Peak list (6 most intense, 2θ from 15° to 90°, by angle)
2θ/deg	I/Imax	index
20.39	45	1 1 0
24.24	77	0 2 0
26.23	47	1 0 2
27.68	100	1 1 -2
28.97	54	1 1 2
41.46	48	0 1 4

Atomic structure:
```
data_SnSO4
_chemical_formula_sum 'Sn4 S4 O16'
_cell_length_a 5.419
_cell_length_b 7.343
_cell_length_c 9.138
_cell_angle_alpha 90.00
_cell_angle_beta 93.18
_cell_angle_gamma 90.00
_symmetry_space_group_name_H-M 'P 1 21/c 1'
_symmetry_Int_Tables_number 14
_symmetry_space_group_name_Hall '-P 2ybc'
loop_
_atom_site_label
_atom_site_fract_x
_atom_site_fract_y
_atom_site_fract_z
_atom_site_occupancy
Sn1 0.222 0.223 0.210 1
S1 0.263 0.677 0.082 1
O1 0.064 0.695 0.628 1
O2 0.203 0.611 0.933 1
O3 0.290 0.527 0.194 1
O4 0.495 0.222 0.912 1
```